Starting from DFT lattice parameters and positions (GGA-PBE), the powder diffractogram of Tb3B7Os was calculated for λ = 1.5418 Å (Cu Kα).
Lines closer than 0.1° are merged.

Most intense lines, 10 to 90 degrees two-theta, sorted by position:
two_theta  d [Å]  Rel. int.
25.82  3.451  100
29.57  3.021  67
30.80  2.903  65
34.00  2.637  33
38.17  2.358  26
38.91  2.315  78
39.41  2.286  60
42.26  2.139  27
48.38  1.881  23
51.71  1.768  25
60.68  1.526  30
63.40  1.467  27

Cell: 8.1049 8.1049 9.3635 Å, 90.00 90.00 154.80°
Sites, in units of the cell vectors:
Tb: 0.1056 0.8944 0.5606
Tb: 0.1056 0.8944 0.9394
Tb: 0.2444 0.7556 0.2500
Tb: 0.7556 0.2444 0.7500
Tb: 0.8944 0.1056 0.0606
Tb: 0.8944 0.1056 0.4394
B: 0.2729 0.7271 0.5340
B: 0.2729 0.7271 0.9660
B: 0.3681 0.6319 0.6510
B: 0.3681 0.6319 0.8490
B: 0.4584 0.5416 0.2500
B: 0.4785 0.5215 0.5967
B: 0.4785 0.5215 0.9033
B: 0.5215 0.4785 0.0967
B: 0.5215 0.4785 0.4033
B: 0.5416 0.4584 0.7500
B: 0.6319 0.3681 0.1510
B: 0.6319 0.3681 0.3491
B: 0.7271 0.2729 0.0340
B: 0.7271 0.2729 0.4660
Os: 0.0547 0.9453 0.2500
Os: 0.9453 0.0547 0.7500

=====

Starting from DFT lattice parameters and positions (GGA-PBE), the powder diffractogram of Li2ZnAu2 was calculated for λ = 1.5418 Å (Cu Kα).
Lines closer than 0.1° are merged.

Most intense lines, 10 to 90 degrees two-theta, sorted by position:
two_theta  d [Å]  Rel. int.
16.19  5.474  17
16.84  5.265  15
28.28  3.156  100
29.76  3.003  21
34.06  2.633  24
35.60  2.522  15
39.34  2.291  17
40.39  2.233  51
47.06  1.931  26
51.91  1.762  17
59.55  1.552  15
71.08  1.326  14

Cell: 6.7336 6.7336 6.7336 Å, 127.04 71.23 136.01°
Sites, in units of the cell vectors:
Li: 0.0972 0.1424 0.2396
Li: 0.4028 0.6424 0.0452
Li: 0.5972 0.3576 0.9548
Li: 0.9028 0.8576 0.7604
Zn: 0.2500 0.7500 0.5000
Zn: 0.7500 0.2500 0.5000
Au: 0.1713 0.7271 0.8984
Au: 0.3287 0.2271 0.5557
Au: 0.6713 0.7729 0.4443
Au: 0.8287 0.2729 0.1016